Entry 1:
# CeSi2
Computed powder XRD pattern, copper Kα. Input: a crystal structure in the Materials Project, relaxed with PBE.
Kinematic intensities with the Lorentz-polarization factor, no thermal factor.

Peak list (12 most intense, 10 to 90 degrees two-theta, by angle)
3.933 Å, rel. 36; 3.538 Å, rel. 22; 3.092 Å, rel. 51; 2.680 Å, rel. 100; 2.328 Å, rel. 42; 2.047 Å, rel. 31; 1.814 Å, rel. 29; 1.771 Å, rel. 16; 1.707 Å, rel. 18; 1.537 Å, rel. 23; 1.357 Å, rel. 17; 1.274 Å, rel. 19

Crystal structure
```
data_CeSi2
_chemical_formula_sum 'Ce2 Si4'
_cell_length_a 7.6448
_cell_length_b 7.6448
_cell_length_c 7.6448
_cell_angle_alpha 148.93
_cell_angle_beta 148.93
_cell_angle_gamma 44.51
_space_group_name_H-M_alt 'P 1'
_space_group_IT_number 1
_space_group_name_Hall 'P 1'
loop_
_atom_site_label
_atom_site_type_symbol
_atom_site_fract_x
_atom_site_fract_y
_atom_site_fract_z
Ce1 Ce 0.3750 0.6250 0.7500
Ce2 Ce 0.6250 0.3750 0.2500
Si1 Si 0.0415 0.7915 0.2500
Si2 Si 0.2085 0.9585 0.2500
Si3 Si 0.7915 0.0415 0.7500
Si4 Si 0.9585 0.2085 0.7500
```

***

Entry 2:
# Y2Th8O19
Computed powder XRD pattern, copper Kα. Input: a crystal structure in the Materials Project, relaxed with PBE.
Kinematic intensities with the Lorentz-polarization factor, no thermal factor.

Peak list (12 most intense, 10 to 90 degrees two-theta, by angle)
3.229 Å, rel. 100; 2.797 Å, rel. 36; 1.978 Å, rel. 50; 1.686 Å, rel. 47; 1.615 Å, rel. 10; 1.399 Å, rel. 6; 1.283 Å, rel. 16; 1.282 Å, rel. 3; 1.251 Å, rel. 6; 1.250 Å, rel. 7; 1.142 Å, rel. 14; 1.141 Å, rel. 3

Crystal structure
```
data_Y2Th8O19
_chemical_formula_sum 'Y2 Th8 O19'
_cell_length_a 3.9568
_cell_length_b 3.9568
_cell_length_c 27.9403
_cell_angle_alpha 90.04
_cell_angle_beta 90.04
_cell_angle_gamma 90.00
_space_group_name_H-M_alt 'P 1'
_space_group_IT_number 1
_space_group_name_Hall 'P 1'
loop_
_atom_site_label
_atom_site_type_symbol
_atom_site_fract_x
_atom_site_fract_y
_atom_site_fract_z
Y1 Y 0.2460 0.2460 0.0558
Y2 Y 0.7540 0.7540 0.9442
Th1 Th 0.2523 0.2475 0.8520
Th2 Th 0.2539 0.2441 0.6504
Th3 Th 0.2552 0.2480 0.2491
Th4 Th 0.2565 0.2454 0.4498
Th5 Th 0.7520 0.7448 0.7509
Th6 Th 0.7525 0.7477 0.1480
Th7 Th 0.7546 0.7435 0.5502
Th8 Th 0.7559 0.7461 0.3496
O1 O 0.2496 0.7462 0.0911
O2 O 0.2517 0.7462 0.8035
O3 O 0.2526 0.7445 0.7013
O4 O 0.2538 0.7483 0.1965
O5 O 0.2538 0.7504 0.9089
O6 O 0.2549 0.7443 0.6003
O7 O 0.2555 0.7474 0.2987
O8 O 0.2557 0.7443 0.5000
O9 O 0.2557 0.7451 0.3997
O10 O 0.7500 0.2464 0.1028
O11 O 0.7532 0.2445 0.7001
O12 O 0.7529 0.2447 0.7990
O13 O 0.7545 0.2440 0.6003
O14 O 0.7536 0.2500 0.8972
O15 O 0.7553 0.2471 0.2010
O16 O 0.7557 0.2443 0.5000
O17 O 0.7560 0.2455 0.3997
O18 O 0.7555 0.2468 0.2999
O19 O 0.7576 0.2424 0.0000
```

***

Entry 3:
# MgTi2S2Cl12O2
Computed powder XRD pattern, copper Kα. Input: a crystal structure in the Materials Project, relaxed with PBE.
Kinematic intensities with the Lorentz-polarization factor, no thermal factor.

Peak list (12 most intense, 10 to 90 degrees two-theta, by angle)
7.429 Å, rel. 58; 6.538 Å, rel. 55; 5.909 Å, rel. 100; 4.370 Å, rel. 24; 3.721 Å, rel. 26; 3.663 Å, rel. 73; 3.245 Å, rel. 26; 3.047 Å, rel. 27; 2.921 Å, rel. 37; 2.844 Å, rel. 27; 2.810 Å, rel. 55; 2.549 Å, rel. 38

Crystal structure
```
data_MgTi2S2Cl12O2
_chemical_formula_sum 'Mg1 Ti2 S2 Cl12 O2'
_cell_length_a 6.9719
_cell_length_b 8.3402
_cell_length_c 11.2560
_cell_angle_alpha 110.26
_cell_angle_beta 90.33
_cell_angle_gamma 108.88
_space_group_name_H-M_alt 'P 1'
_space_group_IT_number 1
_space_group_name_Hall 'P 1'
loop_
_atom_site_label
_atom_site_type_symbol
_atom_site_fract_x
_atom_site_fract_y
_atom_site_fract_z
Mg1 Mg 0.0000 0.0000 0.0000
Ti1 Ti 0.0422 0.4107 0.3081
Ti2 Ti 0.2285 0.8695 0.5802
S1 S 0.4581 0.6212 0.6960
S2 S 0.7803 0.5988 0.1526
Cl1 Cl 0.0061 0.9668 0.5109
Cl2 Cl 0.1171 0.9285 0.7846
Cl3 Cl 0.1385 0.8593 0.1015
Cl4 Cl 0.1481 0.3334 0.0974
Cl5 Cl 0.2197 0.4839 0.7650
Cl6 Cl 0.2758 0.3278 0.3815
Cl7 Cl 0.3096 0.7315 0.3699
Cl8 Cl 0.5056 0.1167 0.6282
Cl9 Cl 0.6516 0.9019 0.9472
Cl10 Cl 0.6837 0.4010 0.9764
Cl11 Cl 0.7784 0.1565 0.2675
Cl12 Cl 0.9483 0.5519 0.5121
O1 O 0.3952 0.7386 0.6402
O2 O 0.8679 0.5277 0.2375
```

***

Please write out number 2 again, unchanged.
# Y2Th8O19
Computed powder XRD pattern, copper Kα. Input: a crystal structure in the Materials Project, relaxed with PBE.
Kinematic intensities with the Lorentz-polarization factor, no thermal factor.

Peak list (12 most intense, 10 to 90 degrees two-theta, by angle)
3.229 Å, rel. 100; 2.797 Å, rel. 36; 1.978 Å, rel. 50; 1.686 Å, rel. 47; 1.615 Å, rel. 10; 1.399 Å, rel. 6; 1.283 Å, rel. 16; 1.282 Å, rel. 3; 1.251 Å, rel. 6; 1.250 Å, rel. 7; 1.142 Å, rel. 14; 1.141 Å, rel. 3

Crystal structure
```
data_Y2Th8O19
_chemical_formula_sum 'Y2 Th8 O19'
_cell_length_a 3.9568
_cell_length_b 3.9568
_cell_length_c 27.9403
_cell_angle_alpha 90.04
_cell_angle_beta 90.04
_cell_angle_gamma 90.00
_space_group_name_H-M_alt 'P 1'
_space_group_IT_number 1
_space_group_name_Hall 'P 1'
loop_
_atom_site_label
_atom_site_type_symbol
_atom_site_fract_x
_atom_site_fract_y
_atom_site_fract_z
Y1 Y 0.2460 0.2460 0.0558
Y2 Y 0.7540 0.7540 0.9442
Th1 Th 0.2523 0.2475 0.8520
Th2 Th 0.2539 0.2441 0.6504
Th3 Th 0.2552 0.2480 0.2491
Th4 Th 0.2565 0.2454 0.4498
Th5 Th 0.7520 0.7448 0.7509
Th6 Th 0.7525 0.7477 0.1480
Th7 Th 0.7546 0.7435 0.5502
Th8 Th 0.7559 0.7461 0.3496
O1 O 0.2496 0.7462 0.0911
O2 O 0.2517 0.7462 0.8035
O3 O 0.2526 0.7445 0.7013
O4 O 0.2538 0.7483 0.1965
O5 O 0.2538 0.7504 0.9089
O6 O 0.2549 0.7443 0.6003
O7 O 0.2555 0.7474 0.2987
O8 O 0.2557 0.7443 0.5000
O9 O 0.2557 0.7451 0.3997
O10 O 0.7500 0.2464 0.1028
O11 O 0.7532 0.2445 0.7001
O12 O 0.7529 0.2447 0.7990
O13 O 0.7545 0.2440 0.6003
O14 O 0.7536 0.2500 0.8972
O15 O 0.7553 0.2471 0.2010
O16 O 0.7557 0.2443 0.5000
O17 O 0.7560 0.2455 0.3997
O18 O 0.7555 0.2468 0.2999
O19 O 0.7576 0.2424 0.0000
```